No. 1
Li5Ti2V5O12: computed powder diffractogram (Cu Kα), based on a cell relaxed with GGA+U.
Intensities are scaled so that the largest is 100.

Structure:
```
data_Li5Ti2V5O12
_cell_length_a 5.1480
_cell_length_b 9.0765
_cell_length_c 10.0491
_cell_angle_alpha 90.00
_cell_angle_beta 101.03
_cell_angle_gamma 90.00
_space_group_name_H-M_alt 'C 1 2 1'
_space_group_IT_number 5
_space_group_name_Hall 'C 2y'
loop_
_atom_site_label
_atom_site_type_symbol
_atom_site_fract_x
_atom_site_fract_y
_atom_site_fract_z
_atom_site_occupancy
Li1 Li 0.0000 0.0000 0.0000 1
Li2 Li 0.2441 0.9955 0.7554 1
Li3 Li 0.2447 0.1606 0.2445 1
Ti1 Ti 0.0000 0.3324 0.0000 1
Ti2 Ti 0.0000 0.8314 0.5000 1
V1 V 0.0000 0.1634 0.5000 1
V2 V 0.0000 0.5027 0.5000 1
V3 V 0.0000 0.6602 0.0000 1
V4 V 0.2456 0.8318 0.2456 1
O1 O 0.1088 0.4889 0.8843 1
O2 O 0.1102 0.6757 0.3790 1
O3 O 0.1130 0.9892 0.3777 1
O4 O 0.1271 0.1733 0.8848 1
O5 O 0.1347 0.3329 0.3816 1
O6 O 0.1385 0.8230 0.8861 1
```

Most intense lines, 5° ≤ 2θ ≤ 70°, most intense first:
42.18°, d = 2.142 Å, I = 100.0, hkl 1 3 -3; 43.25°, d = 2.092 Å, I = 46.4, hkl 2 0 2; 17.99°, d = 4.932 Å, I = 35.9, hkl 0 0 2; 36.69°, d = 2.450 Å, I = 26.7, hkl 2 0 -2; 23.41°, d = 3.800 Å, I = 26.2, hkl 1 1 1; 61.80°, d = 1.501 Å, I = 26.1, hkl 1 3 5; 62.20°, d = 1.492 Å, I = 25.8, hkl 3 3 -1; 19.56°, d = 4.538 Å, I = 19.9, hkl 0 2 0; 61.28°, d = 1.513 Å, I = 13.6, hkl 0 6 0; 61.09°, d = 1.517 Å, I = 13.6, hkl 2 0 -6

***

No. 2
Li4Ti3VO8: computed powder diffractogram (Cu Kα), based on a cell relaxed with GGA+U.
Intensities are scaled so that the largest is 100.

Structure:
```
data_Li4Ti3VO8
_cell_length_a 5.9127
_cell_length_b 5.9127
_cell_length_c 14.9351
_cell_angle_alpha 90.00
_cell_angle_beta 90.00
_cell_angle_gamma 120.00
_space_group_name_H-M_alt 'R -3 m'
_space_group_IT_number 166
_space_group_name_Hall '-R 3 2"'
loop_
_atom_site_label
_atom_site_type_symbol
_atom_site_fract_x
_atom_site_fract_y
_atom_site_fract_z
_atom_site_occupancy
Li1 Li 0.0000 0.0000 0.0000 1
Li2 Li 0.0000 0.5000 0.0000 1
Ti1 Ti 0.0000 0.5000 0.5000 1
V1 V 0.0000 0.0000 0.5000 1
O1 O 0.0000 0.0000 0.2448 1
O2 O 0.0116 0.5058 0.7553 1
```

Most intense lines, 5° ≤ 2θ ≤ 70°, most intense first:
17.82°, d = 4.978 Å, I = 100.0, hkl 0 0 3; 42.83°, d = 2.112 Å, I = 92.5, hkl 0 2 4; 35.58°, d = 2.523 Å, I = 39.7, hkl 0 2 1; 61.47°, d = 1.508 Å, I = 25.7, hkl 2 0 8; 62.87°, d = 1.478 Å, I = 24.1, hkl 2 2 0; 46.73°, d = 1.944 Å, I = 13.9, hkl 2 0 5; 56.11°, d = 1.639 Å, I = 12.9, hkl 0 2 7; 65.92°, d = 1.417 Å, I = 12.8, hkl 2 2 3; 37.12°, d = 2.422 Å, I = 8.3, hkl 2 0 2; 36.08°, d = 2.489 Å, I = 3.1, hkl 0 0 6

***

No. 3
Li2TiV3O8: computed powder diffractogram (Cu Kα), based on a cell relaxed with GGA+U.
Intensities are scaled so that the largest is 100.

Structure:
```
data_Li2TiV3O8
_cell_length_a 8.4549
_cell_length_b 8.4549
_cell_length_c 8.4819
_cell_angle_alpha 90.00
_cell_angle_beta 90.00
_cell_angle_gamma 90.00
_space_group_name_H-M_alt 'P 43 21 2'
_space_group_IT_number 96
_space_group_name_Hall 'P 4nw 2abw'
loop_
_atom_site_label
_atom_site_type_symbol
_atom_site_fract_x
_atom_site_fract_y
_atom_site_fract_z
_atom_site_occupancy
Li1 Li 0.0001 0.2447 0.3744 1
Ti1 Ti 0.1264 0.8736 0.2500 1
V1 V 0.1223 0.1223 0.0000 1
V2 V 0.1246 0.3746 0.7498 1
O1 O 0.1080 0.8794 0.4858 1
O2 O 0.1128 0.1323 0.7663 1
O3 O 0.1156 0.3597 0.9933 1
O4 O 0.1157 0.6396 0.2600 1
```

Most intense lines, 5° ≤ 2θ ≤ 70°, most intense first:
18.15°, d = 4.887 Å, I = 100.0, hkl 1 1 1; 35.17°, d = 2.552 Å, I = 48.7, hkl 3 1 1; 42.78°, d = 2.114 Å, I = 41.5, hkl 4 0 0; 61.99°, d = 1.497 Å, I = 24.9, hkl 4 0 4; 42.64°, d = 2.120 Å, I = 20.9, hkl 0 0 4; 56.55°, d = 1.628 Å, I = 14.0, hkl 5 1 1; 62.10°, d = 1.495 Å, I = 12.4, hkl 4 4 0; 46.79°, d = 1.942 Å, I = 10.0, hkl 3 3 1; 65.26°, d = 1.430 Å, I = 8.8, hkl 5 3 1; 36.78°, d = 2.443 Å, I = 6.8, hkl 2 2 2

***

No. 4
Li2TiV3O8: computed powder diffractogram (Cu Kα), based on a cell relaxed with GGA+U.
Intensities are scaled so that the largest is 100.

Structure:
```
data_Li2TiV3O8
_cell_length_a 6.0370
_cell_length_b 6.0467
_cell_length_c 8.3520
_cell_angle_alpha 90.50
_cell_angle_beta 90.57
_cell_angle_gamma 90.99
_space_group_name_H-M_alt 'P -1'
_space_group_IT_number 2
_space_group_name_Hall '-P 1'
loop_
_atom_site_label
_atom_site_type_symbol
_atom_site_fract_x
_atom_site_fract_y
_atom_site_fract_z
_atom_site_occupancy
Li1 Li 0.0036 0.2422 0.3760 1
Li2 Li 0.4961 0.2565 0.1240 1
Ti1 Ti 0.2505 0.7497 0.2487 1
V1 V 0.0000 0.0000 0.0000 1
V2 V 0.0000 0.5000 0.0000 1
V3 V 0.2509 0.2505 0.7501 1
V4 V 0.5000 0.0000 0.5000 1
V5 V 0.5000 0.5000 0.5000 1
O1 O 0.0078 0.5177 0.2304 1
O2 O 0.0080 0.9680 0.2414 1
O3 O 0.2198 0.2558 0.9901 1
O4 O 0.2307 0.7430 0.0146 1
O5 O 0.2734 0.7540 0.4866 1
O6 O 0.2797 0.2419 0.5104 1
O7 O 0.4905 0.9808 0.2687 1
O8 O 0.4917 0.5314 0.2578 1
```

Most intense lines, 5° ≤ 2θ ≤ 70°, most intense first:
18.04°, d = 4.917 Å, I = 100.0, hkl 1 0 -1; 18.21°, d = 4.872 Å, I = 85.0, hkl 1 0 1; 41.93°, d = 2.155 Å, I = 38.1, hkl 2 -2 0; 42.70°, d = 2.117 Å, I = 36.3, hkl 2 2 0; 43.34°, d = 2.088 Å, I = 34.3, hkl 0 0 4; 34.66°, d = 2.588 Å, I = 21.6, hkl -1 2 1; 61.88°, d = 1.499 Å, I = 21.4, hkl 2 -2 4; 35.37°, d = 2.537 Å, I = 14.5, hkl 0 1 -3; 35.27°, d = 2.545 Å, I = 14.2, hkl 1 2 1; 35.00°, d = 2.564 Å, I = 13.8, hkl 1 2 -1

***

No. 5
Li4Ti5V3O16: computed powder diffractogram (Cu Kα), based on a cell relaxed with GGA+U.
Intensities are scaled so that the largest is 100.

Structure:
```
data_Li4Ti5V3O16
_cell_length_a 10.3275
_cell_length_b 5.9515
_cell_length_c 9.6399
_cell_angle_alpha 90.00
_cell_angle_beta 90.08
_cell_angle_gamma 90.00
_space_group_name_H-M_alt 'C 1 m 1'
_space_group_IT_number 8
_space_group_name_Hall 'C -2y'
loop_
_atom_site_label
_atom_site_type_symbol
_atom_site_fract_x
_atom_site_fract_y
_atom_site_fract_z
_atom_site_occupancy
Li1 Li 0.0000 0.0000 0.0000 1
Li2 Li 0.0064 0.0000 0.5006 1
Li3 Li 0.1722 0.5000 0.9037 1
Li4 Li 0.3408 0.0000 0.4024 1
Ti1 Ti 0.1608 0.5000 0.5031 1
Ti2 Ti 0.3305 0.5000 0.2336 1
Ti3 Ti 0.3352 0.0000 0.0061 1
Ti4 Ti 0.4128 0.2444 0.7264 1
V1 V 0.0903 0.2574 0.2178 1
V2 V 0.1793 0.0000 0.7166 1
O1 O 0.0015 0.0000 0.8114 1
O2 O 0.0029 0.0000 0.3123 1
O3 O 0.0281 0.5000 0.3497 1
O4 O 0.0875 0.2577 0.5995 1
O5 O 0.1716 0.0000 0.0988 1
O6 O 0.1783 0.5000 0.1096 1
O7 O 0.2516 0.2811 0.3469 1
O8 O 0.2722 0.2269 0.8516 1
O9 O 0.3373 0.5000 0.6054 1
O10 O 0.3504 0.0000 0.6078 1
O11 O 0.4182 0.2441 0.1007 1
O12 O 0.4862 0.0000 0.8412 1
```

Most intense lines, 5° ≤ 2θ ≤ 70°, most intense first:
19.52°, d = 4.549 Å, I = 100.0, hkl 2 0 1; 45.07°, d = 2.011 Å, I = 61.1, hkl 4 0 3; 18.41°, d = 4.820 Å, I = 60.4, hkl 0 0 2; 39.63°, d = 2.274 Å, I = 47.6, hkl 4 0 2; 35.43°, d = 2.534 Å, I = 46.9, hkl 3 1 -2; 36.04°, d = 2.492 Å, I = 46.9, hkl 4 0 -1; 59.90°, d = 1.544 Å, I = 45.2, hkl 2 2 5; 62.35°, d = 1.489 Å, I = 42.0, hkl 0 4 0; 32.83°, d = 2.728 Å, I = 39.7, hkl 2 0 -3; 25.29°, d = 3.521 Å, I = 27.3, hkl 1 1 2

***

No. 6
Li2Ti3VO8: computed powder diffractogram (Cu Kα), based on a cell relaxed with GGA+U.
Intensities are scaled so that the largest is 100.

Structure:
```
data_Li2Ti3VO8
_cell_length_a 10.3671
_cell_length_b 5.9606
_cell_length_c 6.0580
_cell_angle_alpha 90.00
_cell_angle_beta 124.49
_cell_angle_gamma 90.00
_space_group_name_H-M_alt 'C 1 2/m 1'
_space_group_IT_number 12
_space_group_name_Hall '-C 2y'
loop_
_atom_site_label
_atom_site_type_symbol
_atom_site_fract_x
_atom_site_fract_y
_atom_site_fract_z
_atom_site_occupancy
Li1 Li 0.0000 0.0000 0.0000 1
Li2 Li 0.0000 0.5000 0.0000 1
Ti1 Ti 0.0000 0.0000 0.5000 1
Ti2 Ti 0.2500 0.2500 0.5000 1
V1 V 0.0000 0.5000 0.5000 1
O1 O 0.0190 0.2369 0.2845 1
O2 O 0.2367 0.0000 0.7090 1
O3 O 0.2468 0.5000 0.7059 1
```

Most intense lines, 5° ≤ 2θ ≤ 70°, most intense first:
17.76°, d = 4.993 Å, I = 100.0, hkl 0 0 1; 42.56°, d = 2.124 Å, I = 41.4, hkl 2 2 -2; 35.27°, d = 2.545 Å, I = 21.0, hkl 2 2 -1; 42.31°, d = 2.136 Å, I = 21.0, hkl 4 0 0; 62.09°, d = 1.495 Å, I = 11.1, hkl 6 2 -2; 61.04°, d = 1.518 Å, I = 10.5, hkl 2 2 2; 35.11°, d = 2.556 Å, I = 10.2, hkl 4 0 -1; 55.86°, d = 1.646 Å, I = 9.6, hkl 2 2 -3; 46.38°, d = 1.958 Å, I = 8.1, hkl 4 0 -3; 62.31°, d = 1.490 Å, I = 5.6, hkl 0 4 0